Diffraction record for InGeMoO6. The X-ray powder pattern is calculated, not measured: it uses the PBE+U geometry in Alexandria and Cu Kα.

Top 12 peaks for 2θ = 10–80°, by intensity:
| 2θ (°) | I_rel |
| --- | --- |
| 26.91 | 100 |
| 34.29 | 78 |
| 52.44 | 65 |
| 66.86 | 19 |
| 38.43 | 19 |
| 55.47 | 17 |
| 65.60 | 15 |
| 62.71 | 14 |
| 79.84 | 12 |
| 58.57 | 8 |
| 72.25 | 7 |
| 39.46 | 6 |

Crystal structure
Cell lengths 4.685, 4.685, 9.456 Å; angles 90.00, 90.00, 90.00 degrees
Positions (direct):
In1 0.000 0.000 0.000
In2 0.500 0.500 0.500
Ge1 0.000 0.000 0.666
Ge2 0.500 0.500 0.166
Mo1 0.000 0.000 0.334
Mo2 0.500 0.500 0.834
O1 0.180 0.180 0.504
O2 0.203 0.203 0.816
O3 0.212 0.212 0.175
O4 0.288 0.712 0.675
O5 0.297 0.703 0.316
O6 0.320 0.680 0.004
O7 0.680 0.320 0.004
O8 0.703 0.297 0.316
O9 0.712 0.288 0.675
O10 0.788 0.788 0.175
O11 0.797 0.797 0.816
O12 0.820 0.820 0.504